No. 1
CsPH2O4: calculated powder XRD pattern (Cu Ka), based on a structure optimized by DFT (PBE).
Neutral-atom scattering factors, no anomalous dispersion.

Cell and atoms:
```
data_CsPH2O4
_chemical_formula_sum 'Cs2 P2 H4 O8'
_cell_length_a 4.949
_cell_length_b 6.462
_cell_length_c 8.028
_cell_angle_alpha 90.00
_cell_angle_beta 106.08
_cell_angle_gamma 90.00
_space_group_name_H-M_alt 'P 1 21 1'
_space_group_IT_number 4
_space_group_name_Hall 'P 2yb'
loop_
_atom_site_label
_atom_site_fract_x
_atom_site_fract_y
_atom_site_fract_z
Cs1 0.224 0.000 0.268
P1 0.300 0.988 0.766
H1 0.171 0.493 0.347
H2 0.466 0.235 0.975
O1 0.011 0.996 0.616
O2 0.292 0.197 0.870
O3 0.301 0.800 0.882
O4 0.469 0.493 0.325
```

Largest 10 diffraction maxima, sorted by position, 10 to 80 degrees two-theta:
index	2theta	I/Imax
0 1 1	17.91	22
0 0 2	23.06	51
1 1 0	23.22	100
1 0 1	24.56	14
0 2 0	27.61	33
1 1 -2	28.96	50
1 2 -1	33.74	22
0 2 2	36.27	32
1 1 2	36.57	24
1 2 1	37.28	15

No. 2
Li3Zr2AgS6: calculated powder XRD pattern (Cu Ka), based on a structure optimized by DFT (PBE).
Neutral-atom scattering factors, no anomalous dispersion.

Cell and atoms:
```
data_Li3Zr2AgS6
_chemical_formula_sum 'Li6 Zr4 Ag2 S12'
_cell_length_a 16.410
_cell_length_b 3.711
_cell_length_c 7.591
_cell_angle_alpha 90.00
_cell_angle_beta 104.06
_cell_angle_gamma 90.00
_space_group_name_H-M_alt 'C 1 2/m 1'
_space_group_IT_number 12
_space_group_name_Hall '-C 2y'
loop_
_atom_site_label
_atom_site_fract_x
_atom_site_fract_y
_atom_site_fract_z
Li1 0.000 0.000 0.000
Li2 0.160 0.500 0.330
Zr1 0.153 0.500 0.818
Ag1 0.000 0.000 0.500
S1 0.001 0.500 0.764
S2 0.171 0.000 0.068
S3 0.179 0.000 0.602
```

Largest 10 diffraction maxima, sorted by position, 10 to 80 degrees two-theta:
index	2theta	I/Imax
2 0 -1	14.26	89
4 0 1	27.95	18
1 1 1	28.10	32
1 1 -2	33.78	100
5 1 -1	36.95	16
3 1 -3	44.07	11
2 0 -4	47.94	12
7 1 -2	48.31	22
5 1 2	48.74	19
0 2 0	49.10	11

No. 3
AcSmB12: calculated powder XRD pattern (Cu Ka), based on a structure optimized by DFT (PBE).
Neutral-atom scattering factors, no anomalous dispersion.

Cell and atoms:
```
data_AcSmB12
_chemical_formula_sum 'Ac1 Sm1 B12'
_cell_length_a 4.163
_cell_length_b 4.163
_cell_length_c 8.321
_cell_angle_alpha 90.00
_cell_angle_beta 90.00
_cell_angle_gamma 90.00
_space_group_name_H-M_alt 'P 4/m m m'
_space_group_IT_number 123
_space_group_name_Hall '-P 4 2'
loop_
_atom_site_label
_atom_site_fract_x
_atom_site_fract_y
_atom_site_fract_z
Ac1 0.000 0.000 0.000
Sm1 0.000 0.000 0.500
B1 0.200 0.500 0.253
B2 0.500 0.500 0.102
B3 0.500 0.500 0.402
```

Largest 10 diffraction maxima, sorted by position, 10 to 80 degrees two-theta:
index	2theta	I/Imax
1 0 0	21.35	74
1 1 0	30.37	100
1 1 2	37.42	42
2 0 0	43.48	21
2 1 0	48.93	52
2 1 2	53.96	31
2 2 0	63.18	11
2 2 2	67.51	28
3 1 0	71.70	20
3 1 2	75.80	14